1.
For Ti2SnP3O12, a cell relaxed with GGA-PBE gives the computed XRD peak list in this record (Cu Kα X-rays).

The 10 most intense peaks (2θ from 10° to 90°), sorted by position:
d [Å]	2theta	I (rel.)
4.334	20.49	91.3
3.758	23.68	70.1
3.562	25.00	29.8
2.844	31.45	100.0
2.752	32.53	23.4
2.502	35.89	33.6
2.003	45.28	27.6
1.879	48.45	34.5
1.638	56.15	23.6
1.502	61.74	23.1

Structure:
Lattice parameters (Å, degrees): 9.0486 9.0486 9.0486 57.24 57.24 57.24
Positions (direct):
Ti1 0.1486 0.1486 0.1486
Ti2 0.3514 0.3514 0.3514
Ti3 0.6486 0.6486 0.6486
Ti4 0.8514 0.8514 0.8514
Sn1 0.0000 0.0000 0.0000
Sn2 0.5000 0.5000 0.5000
P1 0.0381 0.7500 0.4619
P2 0.2500 0.5381 0.9619
P3 0.4619 0.0381 0.7500
P4 0.5381 0.9619 0.2500
P5 0.7500 0.4619 0.0381
P6 0.9619 0.2500 0.5381
O1 0.0059 0.7872 0.6263
O2 0.0617 0.9227 0.2785
O3 0.0773 0.7215 0.9383
O4 0.1263 0.2872 0.5059
O5 0.2128 0.3737 0.9941
O6 0.2215 0.5773 0.4383
O7 0.2785 0.0617 0.9227
O8 0.2872 0.5059 0.1263
O9 0.3737 0.9941 0.2128
O10 0.4227 0.5617 0.7785
O11 0.4383 0.2215 0.5773
O12 0.4941 0.8737 0.7128
O13 0.5059 0.1263 0.2872
O14 0.5617 0.7785 0.4227
O15 0.5773 0.4383 0.2215
O16 0.6263 0.0059 0.7872
O17 0.7128 0.4941 0.8737
O18 0.7215 0.9383 0.0773
O19 0.7785 0.4227 0.5617
O20 0.7872 0.6263 0.0059
O21 0.8737 0.7128 0.4941
O22 0.9227 0.2785 0.0617
O23 0.9383 0.0773 0.7215
O24 0.9941 0.2128 0.3737

2.
For BRu, a cell relaxed with GGA-PBE gives the computed XRD peak list in this record (Cu Kα X-rays).

The 10 most intense peaks (2θ from 10° to 90°), sorted by position:
d [Å]	2theta	I (rel.)
4.077	21.80	43.7
3.986	22.30	87.5
2.608	34.39	84.0
2.336	38.54	100.0
2.284	39.44	56.6
2.182	41.38	36.3
1.740	52.60	80.4
1.718	53.31	45.7
1.184	81.27	22.0
1.139	85.24	19.7

Structure:
Lattice parameters (Å, degrees): 8.1534 2.6078 4.5690 90.00 90.00 90.00
Positions (direct):
B1 0.1513 0.0000 0.2456
B2 0.3487 0.0000 0.2456
B3 0.6513 0.0000 0.7544
B4 0.8487 0.0000 0.7544
Ru1 0.0869 0.0000 0.7476
Ru2 0.4131 0.0000 0.7476
Ru3 0.5869 0.0000 0.2524
Ru4 0.9131 0.0000 0.2524

3.
For GdLuRu2, a cell relaxed with GGA-PBE gives the computed XRD peak list in this record (Cu Kα X-rays).

The 8 most intense peaks (2θ from 10° to 90°), sorted by position:
d [Å]	2theta	I (rel.)
3.379	26.37	6.3
2.390	37.64	100.0
1.951	46.55	2.0
1.690	54.29	17.3
1.511	61.34	2.7
1.380	67.94	35.0
1.195	80.36	11.0
1.126	86.37	1.4

Structure:
Lattice parameters (Å, degrees): 6.7590 6.7590 6.7590 90.00 90.00 90.00
Positions (direct):
Gd1 0.0000 0.0000 0.0000
Gd2 0.0000 0.5000 0.5000
Gd3 0.5000 0.0000 0.5000
Gd4 0.5000 0.5000 0.0000
Lu1 0.0000 0.0000 0.5000
Lu2 0.0000 0.5000 0.0000
Lu3 0.5000 0.0000 0.0000
Lu4 0.5000 0.5000 0.5000
Ru1 0.2500 0.2500 0.2500
Ru2 0.2500 0.2500 0.7500
Ru3 0.2500 0.7500 0.2500
Ru4 0.2500 0.7500 0.7500
Ru5 0.7500 0.2500 0.2500
Ru6 0.7500 0.2500 0.7500
Ru7 0.7500 0.7500 0.2500
Ru8 0.7500 0.7500 0.7500

4.
For PrH6C3O9, a cell relaxed with GGA-PBE gives the computed XRD peak list in this record (Cu Kα X-rays).

The 10 most intense peaks (2θ from 10° to 90°), sorted by position:
d [Å]	2theta	I (rel.)
8.784	10.07	21.2
6.332	13.99	100.0
5.996	14.77	90.9
5.302	16.72	31.6
4.476	19.83	27.9
4.380	20.28	38.3
4.333	20.50	21.9
3.739	23.79	19.1
3.541	25.15	22.8
2.720	32.93	21.5

Structure:
Lattice parameters (Å, degrees): 6.1399 7.7960 9.0229 98.88 98.43 97.65
Positions (direct):
Pr1 0.0127 0.3047 0.2946
Pr2 0.9873 0.6953 0.7054
H1 0.0432 0.3848 0.8778
H2 0.1994 0.6818 0.2179
H3 0.3553 0.7397 0.0041
H4 0.3891 0.9492 0.2903
H5 0.4189 0.1106 0.7959
H6 0.4477 0.6504 0.8570
H7 0.5523 0.3496 0.1430
H8 0.5811 0.8894 0.2041
H9 0.6109 0.0508 0.7097
H10 0.6447 0.2603 0.9959
H11 0.8006 0.3182 0.7821
H12 0.9568 0.6152 0.1222
C1 0.0799 0.0659 0.9686
C2 0.1184 0.9834 0.4862
C3 0.4449 0.5300 0.5694
C4 0.5551 0.4700 0.4306
C5 0.8816 0.0166 0.5138
C6 0.9201 0.9341 0.0314
O1 0.0611 0.5978 0.2097
O2 0.1259 0.2224 0.0411
O3 0.1506 0.0074 0.8491
O4 0.1952 0.8610 0.5426
O5 0.2168 0.0820 0.4083
O6 0.2333 0.5008 0.5505
O7 0.3130 0.6645 0.9030
O8 0.4221 0.8583 0.2109
O9 0.4251 0.3969 0.3091
O10 0.5749 0.6031 0.6909
O11 0.5779 0.1417 0.7891
O12 0.6870 0.3355 0.0970
O13 0.7667 0.4992 0.4495
O14 0.7832 0.9180 0.5917
O15 0.8048 0.1390 0.4574
O16 0.8494 0.9926 0.1509
O17 0.8741 0.7776 0.9589
O18 0.9389 0.4022 0.7903